Starting from the PBE+U geometry in Alexandria, the powder X-ray diffraction pattern of LiNi2P2O8 was simulated for Cu Kα, 1.54184 Å.

Structure:
```
data_LiNi2P2O8
_space_group_name_H-M_alt 'P 1'
_space_group_IT_number 1
_space_group_name_Hall 'P 1'
_cell_length_a 10.111
_cell_length_b 4.979
_cell_length_c 14.060
_cell_angle_alpha 90.00
_cell_angle_beta 90.00
_cell_angle_gamma 90.00
loop_
_atom_site_label
_atom_site_fract_x
_atom_site_fract_y
_atom_site_fract_z
_atom_site_occupancy
Li1 0.232 0.051 0.000 1
Li2 0.268 0.051 0.500 1
Li3 0.732 0.949 0.000 1
Li4 0.768 0.949 0.500 1
Ni1 0.036 0.554 0.998 1
Ni2 0.238 0.047 0.249 1
Ni3 0.262 0.047 0.749 1
Ni4 0.464 0.554 0.498 1
Ni5 0.536 0.446 0.998 1
Ni6 0.738 0.953 0.249 1
Ni7 0.762 0.953 0.749 1
Ni8 0.964 0.446 0.498 1
P1 0.018 0.945 0.624 1
P2 0.215 0.555 0.376 1
P3 0.285 0.555 0.876 1
P4 0.482 0.945 0.124 1
P5 0.518 0.055 0.624 1
P6 0.715 0.445 0.376 1
P7 0.785 0.445 0.876 1
P8 0.982 0.055 0.124 1
O1 0.004 0.636 0.606 1
O2 0.049 0.988 0.218 1
O3 0.053 0.917 0.037 1
O4 0.066 0.485 0.392 1
O5 0.166 0.026 0.623 1
O6 0.209 0.434 0.963 1
O7 0.238 0.862 0.376 1
O8 0.244 0.429 0.781 1
O9 0.256 0.429 0.281 1
O10 0.262 0.862 0.876 1
O11 0.291 0.434 0.463 1
O12 0.334 0.026 0.123 1
O13 0.434 0.485 0.892 1
O14 0.447 0.917 0.537 1
O15 0.451 0.988 0.718 1
O16 0.496 0.636 0.106 1
O17 0.504 0.364 0.606 1
O18 0.549 0.012 0.218 1
O19 0.553 0.083 0.037 1
O20 0.566 0.515 0.392 1
O21 0.666 0.974 0.623 1
O22 0.709 0.566 0.963 1
O23 0.738 0.138 0.376 1
O24 0.744 0.571 0.781 1
O25 0.756 0.571 0.281 1
O26 0.762 0.138 0.876 1
O27 0.791 0.566 0.463 1
O28 0.834 0.974 0.123 1
O29 0.934 0.515 0.892 1
O30 0.947 0.083 0.537 1
O31 0.951 0.012 0.718 1
O32 0.996 0.364 0.106 1
```

Top 10 peaks for 2θ = 5–70°, in order of rising 2θ:
| h k l | Position (°2θ) | I/Imax |
| --- | --- | --- |
| 2 0 2 | 21.65 | 98 |
| 0 1 2 | 21.87 | 100 |
| 2 0 3 | 25.92 | 15 |
| 4 0 0 | 35.52 | 23 |
| 2 1 4 | 35.97 | 21 |
| 0 2 0 | 36.08 | 30 |
| 4 1 2 | 42.10 | 12 |
| 2 0 6 | 42.49 | 19 |
| 0 0 8 | 52.02 | 11 |
| 0 1 10 | 69.42 | 9 |